Entry 1:
Structure and theoretical powder diffractogram of Ce2Ho5Er4 (a DFT-relaxed cell (PBE, Alexandria); Cu Kα (λ = 1.5418 Å)).
No peak broadening, texture or thermal motion is included.

Crystal structure
Unit cell a=3.471 b=8.648 c=11.557 alpha=83.03 beta=81.39 gamma=89.99
Positions (direct):
Ce (0.187, 0.436, 0.126)
Ce (0.813, 0.564, 0.874)
Ho (0.036, 0.348, 0.426)
Ho (0.236, 0.822, 0.027)
Ho (0.500, 0.000, 0.500)
Ho (0.764, 0.178, 0.973)
Ho (0.964, 0.652, 0.574)
Er (0.130, 0.054, 0.239)
Er (0.401, 0.301, 0.699)
Er (0.599, 0.699, 0.301)
Er (0.870, 0.946, 0.761)

Principal peaks in the range 2θ from 15° to 90°, by angle:
- 30.69 deg, rel. 83
- 31.29 deg, rel. 83
- 32.01 deg, rel. 73
- 33.43 deg, rel. 100
- 33.75 deg, rel. 20
- 36.20 deg, rel. 21
- 37.44 deg, rel. 47
- 52.77 deg, rel. 30
- 53.90 deg, rel. 17
- 58.06 deg, rel. 17
- 62.62 deg, rel. 23
- 63.92 deg, rel. 20

---

Entry 2:
Structure and theoretical powder diffractogram of CeHo3Er4 (a DFT-relaxed cell (PBE, Alexandria); Cu Kα (λ = 1.5418 Å)).
No peak broadening, texture or thermal motion is included.

Crystal structure
Unit cell a=3.516 b=7.028 c=10.510 alpha=70.52 beta=89.98 gamma=89.93
Positions (direct):
Ce (0.000, 0.000, 0.000)
Ho (0.000, 0.500, 0.000)
Ho (0.500, 0.371, 0.751)
Ho (0.500, 0.629, 0.249)
Er (0.001, 0.749, 0.503)
Er (0.500, 0.122, 0.249)
Er (0.500, 0.878, 0.751)
Er (0.999, 0.251, 0.497)

Principal peaks in the range 2θ from 15° to 90°, by angle:
- 31.20 deg, rel. 100
- 36.14 deg, rel. 34
- 36.27 deg, rel. 17
- 52.06 deg, rel. 18
- 52.14 deg, rel. 18
- 61.92 deg, rel. 25
- 62.04 deg, rel. 7
- 62.11 deg, rel. 11
- 65.07 deg, rel. 12
- 85.08 deg, rel. 6
- 85.22 deg, rel. 10
- 87.81 deg, rel. 6

---

Entry 3:
Structure and theoretical powder diffractogram of CeHo5Er8 (a DFT-relaxed cell (PBE, Alexandria); Cu Kα (λ = 1.5418 Å)).
No peak broadening, texture or thermal motion is included.

Crystal structure
Unit cell a=8.346 b=8.346 c=8.346 alpha=111.59 beta=111.59 gamma=105.31
Positions (direct):
Ce (0.000, 0.000, 0.000)
Ho (0.035, 0.212, 0.597)
Ho (0.250, 0.750, 0.500)
Ho (0.562, 0.965, 0.177)
Ho (0.615, 0.438, 0.403)
Ho (0.788, 0.385, 0.823)
Er (0.089, 0.678, 0.762)
Er (0.278, 0.528, 0.106)
Er (0.322, 0.085, 0.411)
Er (0.422, 0.172, 0.894)
Er (0.472, 0.578, 0.751)
Er (0.674, 0.911, 0.589)
Er (0.828, 0.722, 0.249)
Er (0.915, 0.326, 0.238)

Principal peaks in the range 2θ from 15° to 90°, by angle:
- 28.10 deg, rel. 55
- 29.90 deg, rel. 64
- 30.12 deg, rel. 73
- 32.26 deg, rel. 22
- 34.09 deg, rel. 100
- 35.05 deg, rel. 41
- 35.62 deg, rel. 48
- 56.07 deg, rel. 18
- 57.01 deg, rel. 17
- 60.73 deg, rel. 15
- 62.61 deg, rel. 13
- 63.41 deg, rel. 20

---

Entry 4:
Structure and theoretical powder diffractogram of CeHo4Er8 (a DFT-relaxed cell (PBE, Alexandria); Cu Kα (λ = 1.5418 Å)).
No peak broadening, texture or thermal motion is included.

Crystal structure
Unit cell a=9.773 b=9.773 c=9.773 alpha=43.30 beta=43.30 gamma=43.30
Positions (direct):
Ce (0.000, 0.000, 0.000)
Ho (0.000, 0.000, 0.500)
Ho (0.000, 0.500, 0.000)
Ho (0.500, 0.000, 0.000)
Ho (0.500, 0.500, 0.500)
Er (0.246, 0.246, 0.698)
Er (0.246, 0.698, 0.246)
Er (0.280, 0.280, 0.280)
Er (0.302, 0.754, 0.754)
Er (0.698, 0.246, 0.246)
Er (0.720, 0.720, 0.720)
Er (0.754, 0.302, 0.754)
Er (0.754, 0.754, 0.302)

Principal peaks in the range 2θ from 15° to 90°, by angle:
- 28.79 deg, rel. 18
- 30.33 deg, rel. 33
- 31.67 deg, rel. 100
- 33.29 deg, rel. 46
- 39.65 deg, rel. 27
- 50.63 deg, rel. 31
- 53.66 deg, rel. 19
- 56.84 deg, rel. 9
- 60.17 deg, rel. 25
- 60.96 deg, rel. 14
- 83.13 deg, rel. 10
- 85.01 deg, rel. 10

---

Entry 5:
Structure and theoretical powder diffractogram of Ce2Ho7Er2 (a DFT-relaxed cell (PBE, Alexandria); Cu Kα (λ = 1.5418 Å)).
No peak broadening, texture or thermal motion is included.

Crystal structure
Unit cell a=7.970 b=7.970 c=5.982 alpha=106.26 beta=106.26 gamma=90.48
Positions (direct):
Ce (0.228, 0.228, 0.089)
Ce (0.772, 0.772, 0.911)
Ho (0.000, 0.000, 0.500)
Ho (0.066, 0.586, 0.321)
Ho (0.414, 0.414, 0.697)
Ho (0.414, 0.934, 0.679)
Ho (0.586, 0.066, 0.321)
Ho (0.586, 0.586, 0.303)
Ho (0.934, 0.414, 0.679)
Er (0.214, 0.786, 0.000)
Er (0.786, 0.214, 0.000)

Principal peaks in the range 2θ from 15° to 90°, by angle:
- 25.77 deg, rel. 23
- 30.20 deg, rel. 13
- 31.22 deg, rel. 27
- 31.62 deg, rel. 48
- 31.99 deg, rel. 28
- 32.31 deg, rel. 100
- 34.23 deg, rel. 67
- 45.59 deg, rel. 19
- 50.77 deg, rel. 13
- 55.99 deg, rel. 12
- 56.76 deg, rel. 14
- 58.03 deg, rel. 14

---

Entry 6:
Structure and theoretical powder diffractogram of CeHo3Er5 (a DFT-relaxed cell (PBE, Alexandria); Cu Kα (λ = 1.5418 Å)).
No peak broadening, texture or thermal motion is included.

Crystal structure
Unit cell a=10.213 b=10.213 c=9.260 alpha=116.44 beta=116.44 gamma=44.77
Positions (direct):
Ce (0.152, 0.152, 0.467)
Ce (0.848, 0.848, 0.533)
Ho (0.000, 0.000, 0.000)
Ho (0.000, 0.000, 0.500)
Ho (0.154, 0.154, 0.844)
Ho (0.326, 0.326, 0.496)
Ho (0.674, 0.674, 0.504)
Ho (0.846, 0.846, 0.156)
Er (0.103, 0.534, 0.822)
Er (0.329, 0.671, 0.500)
Er (0.330, 0.330, 0.159)
Er (0.466, 0.897, 0.178)
Er (0.496, 0.496, 0.832)
Er (0.504, 0.504, 0.168)
Er (0.534, 0.103, 0.822)
Er (0.670, 0.670, 0.841)
Er (0.671, 0.329, 0.500)
Er (0.897, 0.466, 0.178)

Principal peaks in the range 2θ from 15° to 90°, by angle:
- 22.87 deg, rel. 44
- 29.66 deg, rel. 74
- 29.77 deg, rel. 72
- 30.00 deg, rel. 65
- 32.46 deg, rel. 100
- 33.12 deg, rel. 96
- 33.41 deg, rel. 76
- 40.23 deg, rel. 24
- 46.71 deg, rel. 25
- 57.77 deg, rel. 23
- 58.02 deg, rel. 22
- 58.66 deg, rel. 27

---

Entry 7:
Structure and theoretical powder diffractogram of CeHo8Er5 (a DFT-relaxed cell (PBE, Alexandria); Cu Kα (λ = 1.5418 Å)).
No peak broadening, texture or thermal motion is included.

Crystal structure
Unit cell a=8.319 b=8.319 c=8.319 alpha=110.63 beta=110.63 gamma=107.17
Positions (direct):
Ce (0.000, 0.000, 0.000)
Ho (0.023, 0.419, 0.250)
Ho (0.070, 0.158, 0.746)
Ho (0.170, 0.773, 0.750)
Ho (0.227, 0.977, 0.396)
Ho (0.412, 0.324, 0.254)
Ho (0.581, 0.830, 0.604)
Ho (0.676, 0.930, 0.088)
Ho (0.842, 0.588, 0.912)
Er (0.319, 0.642, 0.104)
Er (0.358, 0.462, 0.677)
Er (0.538, 0.215, 0.896)
Er (0.750, 0.250, 0.500)
Er (0.785, 0.681, 0.323)

Principal peaks in the range 2θ from 15° to 90°, by angle:
- 28.71 deg, rel. 62
- 29.72 deg, rel. 68
- 29.84 deg, rel. 84
- 32.31 deg, rel. 25
- 34.51 deg, rel. 100
- 35.05 deg, rel. 47
- 35.37 deg, rel. 58
- 56.02 deg, rel. 16
- 57.33 deg, rel. 17
- 60.19 deg, rel. 18
- 61.99 deg, rel. 15
- 64.61 deg, rel. 20

---

Entry 8:
Structure and theoretical powder diffractogram of CeHo10Er6 (a DFT-relaxed cell (PBE, Alexandria); Cu Kα (λ = 1.5418 Å)).
No peak broadening, texture or thermal motion is included.

Crystal structure
Unit cell a=9.564 b=9.564 c=6.750 alpha=90.00 beta=90.00 gamma=120.00
Positions (direct):
Ce (0.000, 0.000, 0.000)
Ho (0.000, 0.275, 0.682)
Ho (0.000, 0.725, 0.318)
Ho (0.275, 0.000, 0.682)
Ho (0.275, 0.275, 0.318)
Ho (0.333, 0.667, 0.000)
Ho (0.333, 0.667, 0.500)
Ho (0.667, 0.333, 0.000)
Ho (0.667, 0.333, 0.500)
Ho (0.725, 0.000, 0.318)
Ho (0.725, 0.725, 0.682)
Er (0.000, 0.376, 0.196)
Er (0.000, 0.624, 0.804)
Er (0.376, 0.000, 0.196)
Er (0.376, 0.376, 0.804)
Er (0.624, 0.000, 0.804)
Er (0.624, 0.624, 0.196)

Principal peaks in the range 2θ from 15° to 90°, by angle:
- 28.52 deg, rel. 5
- 31.50 deg, rel. 26
- 32.45 deg, rel. 100
- 41.54 deg, rel. 9
- 46.55 deg, rel. 14
- 49.87 deg, rel. 9
- 57.31 deg, rel. 6
- 57.87 deg, rel. 12
- 57.95 deg, rel. 10
- 60.77 deg, rel. 10
- 64.12 deg, rel. 9
- 77.33 deg, rel. 6

---

Entry 9:
Structure and theoretical powder diffractogram of Ce2NdHo3Er6 (a DFT-relaxed cell (PBE, Alexandria); Cu Kα (λ = 1.5418 Å)).
No peak broadening, texture or thermal motion is included.

Crystal structure
Unit cell a=9.349 b=9.349 c=9.349 alpha=148.95 beta=115.91 gamma=72.92
Positions (direct):
Ce (0.166, 0.166, 0.000)
Ce (0.834, 0.834, 0.000)
Nd (0.500, 0.500, 0.000)
Ho (0.000, 0.500, 0.500)
Ho (0.332, 0.832, 0.500)
Ho (0.668, 0.168, 0.500)
Er (0.080, 0.332, 0.748)
Er (0.247, 0.000, 0.247)
Er (0.416, 0.668, 0.748)
Er (0.584, 0.332, 0.252)
Er (0.753, 0.000, 0.753)
Er (0.920, 0.668, 0.252)

Principal peaks in the range 2θ from 15° to 90°, by angle:
- 31.03 deg, rel. 100
- 35.86 deg, rel. 34
- 36.22 deg, rel. 17
- 51.61 deg, rel. 12
- 51.88 deg, rel. 24
- 61.45 deg, rel. 29
- 61.94 deg, rel. 14
- 64.68 deg, rel. 12
- 84.33 deg, rel. 6
- 84.75 deg, rel. 12
- 86.94 deg, rel. 3
- 87.09 deg, rel. 6

---

Entry 10:
Structure and theoretical powder diffractogram of CeNdHo4Er2 (a DFT-relaxed cell (PBE, Alexandria); Cu Kα (λ = 1.5418 Å)).
No peak broadening, texture or thermal motion is included.

Crystal structure
Unit cell a=5.010 b=5.026 c=9.969 alpha=90.00 beta=90.00 gamma=90.00
Positions (direct):
Ce (0.000, 0.000, 0.000)
Nd (0.500, 0.500, 0.500)
Ho (0.000, 0.500, 0.247)
Ho (0.000, 0.500, 0.753)
Ho (0.500, 0.000, 0.247)
Ho (0.500, 0.000, 0.753)
Er (0.000, 0.000, 0.500)
Er (0.500, 0.500, 0.000)

Principal peaks in the range 2θ from 15° to 90°, by angle:
- 30.93 deg, rel. 100
- 35.73 deg, rel. 17
- 35.84 deg, rel. 17
- 36.04 deg, rel. 17
- 51.51 deg, rel. 12
- 51.70 deg, rel. 24
- 61.23 deg, rel. 14
- 61.38 deg, rel. 14
- 61.64 deg, rel. 14
- 64.47 deg, rel. 12
- 84.12 deg, rel. 6
- 84.34 deg, rel. 6

---

Entry 11:
Structure and theoretical powder diffractogram of CeNd2HoEr (a DFT-relaxed cell (PBE, Alexandria); Cu Kα (λ = 1.5418 Å)).
No peak broadening, texture or thermal motion is included.

Crystal structure
Unit cell a=6.741 b=8.127 c=6.096 alpha=90.00 beta=90.11 gamma=90.00
Positions (direct):
Ce (0.000, 0.000, 0.000)
Ce (0.000, 0.000, 0.500)
Nd (0.265, 0.312, 0.251)
Nd (0.265, 0.688, 0.751)
Nd (0.735, 0.312, 0.249)
Nd (0.735, 0.688, 0.749)
Ho (0.500, 0.127, 0.750)
Ho (0.500, 0.873, 0.250)
Er (0.000, 0.355, 0.750)
Er (0.000, 0.645, 0.250)

Principal peaks in the range 2θ from 15° to 90°, by angle:
- 26.38 deg, rel. 34
- 28.67 deg, rel. 31
- 29.30 deg, rel. 50
- 29.56 deg, rel. 100
- 32.26 deg, rel. 98
- 32.31 deg, rel. 88
- 33.07 deg, rel. 31
- 34.12 deg, rel. 70
- 35.72 deg, rel. 39
- 36.86 deg, rel. 36
- 51.78 deg, rel. 27
- 53.88 deg, rel. 42

---

Entry 12:
Structure and theoretical powder diffractogram of CePm2Ho5Er (a DFT-relaxed cell (PBE, Alexandria); Cu Kα (λ = 1.5418 Å)).
No peak broadening, texture or thermal motion is included.

Crystal structure
Unit cell a=9.870 b=9.870 c=9.870 alpha=128.78 beta=128.78 gamma=75.36
Positions (direct):
Ce (0.250, 0.750, 0.500)
Ce (0.750, 0.250, 0.500)
Pm (0.121, 0.621, 0.741)
Pm (0.379, 0.121, 0.500)
Pm (0.621, 0.879, 0.500)
Pm (0.879, 0.379, 0.259)
Ho (0.000, 0.000, 0.000)
Ho (0.063, 0.155, 0.500)
Ho (0.155, 0.655, 0.092)
Ho (0.345, 0.437, 0.500)
Ho (0.437, 0.937, 0.092)
Ho (0.500, 0.500, 0.000)
Ho (0.563, 0.063, 0.908)
Ho (0.655, 0.563, 0.500)
Ho (0.845, 0.345, 0.908)
Ho (0.937, 0.845, 0.500)
Er (0.250, 0.250, 0.000)
Er (0.750, 0.750, 0.000)

Principal peaks in the range 2θ from 15° to 90°, by angle:
- 29.01 deg, rel. 62
- 29.61 deg, rel. 50
- 31.04 deg, rel. 100
- 33.20 deg, rel. 19
- 38.48 deg, rel. 16
- 40.61 deg, rel. 13
- 44.15 deg, rel. 12
- 46.50 deg, rel. 12
- 47.26 deg, rel. 16
- 53.45 deg, rel. 19
- 56.10 deg, rel. 12
- 56.72 deg, rel. 13